Computed powder XRD pattern of Cr2GaN for a wavelength of 1.5418 Å, from a structure optimized by DFT (GGA-PBE).
Intensities are scaled so that the largest is 100.

Most intense lines, 10 to 90 degrees two-theta, by angle:
hkl 0 0 4, 2θ = 29.25°, intensity 3.1
hkl 1 0 0, 2θ = 35.25°, intensity 20.0
hkl 1 0 2, 2θ = 38.30°, intensity 2.4
hkl 1 0 3, 2θ = 41.84°, intensity 100.0
hkl 0 0 6, 2θ = 44.51°, intensity 15.8
hkl 1 0 6, 2θ = 58.01°, intensity 14.7
hkl 1 1 0, 2θ = 63.26°, intensity 19.9
hkl 2 0 3, 2θ = 78.76°, intensity 13.4
hkl 1 0 9, 2θ = 80.14°, intensity 12.6
hkl 1 1 6, 2θ = 80.61°, intensity 14.9

Structure:
a = 2.9401 Å, b = 2.9401 Å, c = 12.2143 Å
α = 90.00°, β = 90.00°, γ = 120.00°
Element x y z (fractional)
Cr (0.3333, 0.6667, 0.0800)
Cr (0.3333, 0.6667, 0.4200)
Cr (0.6667, 0.3333, 0.5800)
Cr (0.6667, 0.3333, 0.9200)
Ga (0.3333, 0.6667, 0.7500)
Ga (0.6667, 0.3333, 0.2500)
N (0.0000, 0.0000, 0.0000)
N (0.0000, 0.0000, 0.5000)